For Ce3Ga5Ni6, the GGA-PBE geometry in Alexandria gives the theoretical powder X-ray diffraction pattern in this record (λ = 1.5418 Å (Cu Kα)).
Kinematic intensities with the Lorentz-polarization factor, no thermal factor.

The 8 most intense peaks (2θ = 5–70°), by angle:
- 30.32°, intensity 549, (1 0 3)
- 36.72°, intensity 1000, (1 2 3)
- 37.18°, intensity 504, (1 3 0)
- 37.91°, intensity 557, (0 3 3)
- 40.13°, intensity 325, (1 3 2)
- 42.11°, intensity 639, (2 0 0)
- 42.71°, intensity 330, (1 0 5)
- 57.93°, intensity 317, (2 3 3)

Cell and atoms:
Lattice parameters (Å, degrees): 4.292 8.781 12.167 90.00 90.00 90.00
Space group Immm (No. 71)
Symmetry-distinct sites (fractional):
Ce: 0.000 0.000 0.000 x2
Ce: 0.000 0.000 0.315 x4
Ga: 0.000 0.345 0.325 x8
Ga: 0.000 0.500 0.000 x2
Ni: 0.000 0.197 0.500 x4
Ni: 0.000 0.270 0.114 x8



For Ce3Ga2Ni2, the GGA-PBE geometry in Alexandria gives the theoretical powder X-ray diffraction pattern in this record (λ = 1.5418 Å (Cu Kα)).
Kinematic intensities with the Lorentz-polarization factor, no thermal factor.

The 8 most intense peaks (2θ = 5–70°), by angle:
- 30.53°, intensity 475, (0 2 3)
- 33.94°, intensity 667, (2 1 0)
- 34.20°, intensity 620, (1 1 4)
- 34.58°, intensity 499, (1 2 3)
- 35.87°, intensity 465, (0 2 4)
- 37.10°, intensity 1000, (1 3 0)
- 40.18°, intensity 888, (2 1 3)
- 42.47°, intensity 361, (0 0 6)

Cell and atoms:
Lattice parameters (Å, degrees): 5.590 8.068 12.771 90.00 90.00 90.00
Space group Pbcm (No. 57)
Symmetry-distinct sites (fractional):
Ce: 0.145 0.246 0.250 x4
Ce: 0.340 0.601 0.095 x8
Ga: 0.161 0.250 0.000 x4
Ga: 0.351 0.604 0.750 x4
Ni: 0.116 0.536 0.590 x8



For Ce3Ga2Ni7, the GGA-PBE geometry in Alexandria gives the theoretical powder X-ray diffraction pattern in this record (λ = 1.5418 Å (Cu Kα)).
Kinematic intensities with the Lorentz-polarization factor, no thermal factor.

The 8 most intense peaks (2θ = 5–70°), by angle:
- 32.84°, intensity 373, (1 0 7)
- 34.74°, intensity 475, (1 1 0)
- 35.95°, intensity 214, (0 1 8)
- 40.52°, intensity 329, (0 2 1)
- 41.58°, intensity 1000, (1 1 6)
- 44.68°, intensity 145, (2 0 5)
- 66.96°, intensity 233, (0 3 6)
- 68.84°, intensity 163, (2 0 14)

Cell and atoms:
Lattice parameters (Å, degrees): 5.1641 5.1641 24.0924 90.00 90.00 120.00
Space group R-3m (No. 166, hexagonal axes)
Symmetry-distinct sites (fractional):
Ce: 0.0000 0.0000 0.0000 x3
Ce: 0.0000 0.0000 0.1434 x6
Ga: 0.0000 0.0000 0.3313 x6
Ni: 0.0000 0.0000 0.5000 x3
Ni: 0.0049 0.5025 0.0822 x18



For Ce2Ga12Ni, the GGA-PBE geometry in Alexandria gives the theoretical powder X-ray diffraction pattern in this record (λ = 1.5418 Å (Cu Kα)).
Kinematic intensities with the Lorentz-polarization factor, no thermal factor.

The 8 most intense peaks (2θ = 5–70°), by angle:
- 31.23°, intensity 526, (1 1 4)
- 31.73°, intensity 1000, (2 0 2)
- 37.78°, intensity 284, (2 0 4)
- 40.99°, intensity 363, (1 1 6)
- 42.17°, intensity 627, (2 2 0)
- 46.36°, intensity 252, (2 0 6)
- 53.39°, intensity 277, (3 1 4)
- 69.16°, intensity 203, (3 1 8)

Cell and atoms:
Lattice parameters (Å, degrees): 6.062 6.062 15.400 90.00 90.00 90.00
Space group P4/nbm (No. 125, origin choice 2)
Symmetry-distinct sites (fractional):
Ce: 0.250 0.750 0.242 x4
Ga: 0.000 0.000 0.084 x8
Ga: 0.080 0.580 0.429 x8
Ga: 0.250 0.250 0.183 x4
Ga: 0.250 0.250 0.341 x4
Ni: 0.250 0.750 0.000 x2



For Ce2Ga3Ni2, the GGA-PBE geometry in Alexandria gives the theoretical powder X-ray diffraction pattern in this record (λ = 1.5418 Å (Cu Kα)).
Kinematic intensities with the Lorentz-polarization factor, no thermal factor.

The 8 most intense peaks (2θ = 5–70°), by angle:
- 29.74°, intensity 520, (1 1 1)
- 34.30°, intensity 888, (1 1 -2)
- 34.63°, intensity 650, (3 1 -1)
- 36.76°, intensity 647, (3 1 0)
- 38.67°, intensity 1000, (3 1 -2)
- 40.01°, intensity 398, (4 0 0)
- 41.02°, intensity 597, (1 1 2)
- 43.01°, intensity 689, (0 2 0)

Cell and atoms:
Lattice parameters (Å, degrees): 9.901 4.206 6.697 90.00 114.44 90.00
Space group C2/m (No. 12)
Symmetry-distinct sites (fractional):
Ce: 0.147 0.000 0.286 x4
Ga: 0.000 0.500 0.500 x2
Ga: 0.124 0.500 0.939 x4
Ni: 0.139 0.000 0.721 x4



For Ce3Ga9Ni2, the GGA-PBE geometry in Alexandria gives the theoretical powder X-ray diffraction pattern in this record (λ = 1.5418 Å (Cu Kα)).
Kinematic intensities with the Lorentz-polarization factor, no thermal factor.

The 8 most intense peaks (2θ = 5–70°), by angle:
- 30.21°, intensity 242, (1 0 3)
- 34.42°, intensity 492, (1 3 0)
- 35.02°, intensity 255, (0 3 3)
- 35.39°, intensity 1000, (1 2 3)
- 42.24°, intensity 377, (2 0 0)
- 44.25°, intensity 171, (0 0 6)
- 55.99°, intensity 148, (2 3 3)
- 64.94°, intensity 139, (1 6 3)

Cell and atoms:
Lattice parameters (Å, degrees): 4.279 9.856 12.281 90.00 90.00 90.00
Space group Immm (No. 71)
Symmetry-distinct sites (fractional):
Ce: 0.000 0.000 0.000 x2
Ce: 0.000 0.000 0.319 x4
Ga: 0.000 0.278 0.125 x8
Ga: 0.000 0.368 0.338 x8
Ga: 0.000 0.500 0.000 x2
Ni: 0.000 0.216 0.500 x4



For Ce2Ga3Ni4Pd, the GGA-PBE geometry in Alexandria gives the theoretical powder X-ray diffraction pattern in this record (λ = 1.5418 Å (Cu Kα)).
Kinematic intensities with the Lorentz-polarization factor, no thermal factor.

The 8 most intense peaks (2θ = 5–70°), by angle:
- 31.48°, intensity 111, (0 0 4)
- 33.27°, intensity 482, (1 0 3)
- 36.77°, intensity 1000, (1 1 2)
- 46.46°, intensity 296, (1 0 5)
- 47.49°, intensity 431, (2 0 0)
- 59.22°, intensity 181, (2 1 3)
- 68.62°, intensity 178, (2 1 5)
- 69.43°, intensity 132, (2 2 0)

Cell and atoms:
Lattice parameters (Å, degrees): 3.829 3.829 11.366 90.00 90.00 90.00
Space group P-4m2 (No. 115)
Symmetry-distinct sites (fractional):
Ce: 0.000 0.500 0.238 x2
Ga: 0.000 0.000 0.000 x1
Ga: 0.000 0.500 0.626 x2
Ni: 0.000 0.000 0.500 x1
Ni: 0.000 0.500 0.840 x2
Ni: 0.500 0.500 0.500 x1
Pd: 0.500 0.500 0.000 x1



For CeGa5Ni2Pt, the GGA-PBE geometry in Alexandria gives the theoretical powder X-ray diffraction pattern in this record (λ = 1.5418 Å (Cu Kα)).
Kinematic intensities with the Lorentz-polarization factor, no thermal factor.

The 8 most intense peaks (2θ = 5–70°), by angle:
- 12.52°, intensity 192, (0 0 1)
- 26.95°, intensity 216, (1 1 0)
- 31.73°, intensity 554, (1 0 2)
- 37.23°, intensity 987, (1 1 2)
- 38.48°, intensity 1000, (2 0 0)
- 50.70°, intensity 298, (2 1 2)
- 55.56°, intensity 423, (2 2 0)
- 68.78°, intensity 324, (3 1 2)

Cell and atoms:
Lattice parameters (Å, degrees): 4.679 4.679 7.069 90.00 90.00 90.00
Space group P4/mmm (No. 123)
Symmetry-distinct sites (fractional):
Ce: 0.000 0.000 0.000 x1
Ga: 0.000 0.500 0.303 x4
Ga: 0.500 0.500 0.000 x1
Ni: 0.500 0.500 0.323 x2
Pt: 0.000 0.000 0.500 x1



For Ce2Ga4Ni3Rh, the GGA-PBE geometry in Alexandria gives the theoretical powder X-ray diffraction pattern in this record (λ = 1.5418 Å (Cu Kα)).
Kinematic intensities with the Lorentz-polarization factor, no thermal factor.

The 8 most intense peaks (2θ = 5–70°), by angle:
- 34.28°, intensity 559, (1 0 3)
- 35.58°, intensity 1000, (1 1 2)
- 44.08°, intensity 533, (2 0 0)
- 50.01°, intensity 254, (1 0 5)
- 57.00°, intensity 253, (2 1 3)
- 63.51°, intensity 120, (1 1 6)
- 64.11°, intensity 170, (2 2 0)
- 68.84°, intensity 189, (2 1 5)

Cell and atoms:
Lattice parameters (Å, degrees): 4.108 4.108 10.178 90.00 90.00 90.00
Space group P-4m2 (No. 115)
Symmetry-distinct sites (fractional):
Ce: 0.000 0.500 0.244 x2
Ga: 0.000 0.000 0.000 x1
Ga: 0.000 0.500 0.633 x2
Ga: 0.500 0.500 0.000 x1
Ni: 0.000 0.500 0.867 x2
Ni: 0.500 0.500 0.500 x1
Rh: 0.000 0.000 0.500 x1



For CeGaSiNi6, the GGA-PBE geometry in Alexandria gives the theoretical powder X-ray diffraction pattern in this record (λ = 1.5418 Å (Cu Kα)).
Kinematic intensities with the Lorentz-polarization factor, no thermal factor.

The 8 most intense peaks (2θ = 5–70°), by angle:
- 28.74°, intensity 372, (0 2 2)
- 31.37°, intensity 698, (2 1 1)
- 36.35°, intensity 1000, (2 2 0)
- 37.55°, intensity 596, (1 2 3)
- 40.03°, intensity 633, (2 1 3)
- 41.88°, intensity 874, (0 2 4)
- 44.90°, intensity 320, (2 0 4)
- 46.89°, intensity 668, (0 4 0)

Cell and atoms:
Lattice parameters (Å, degrees): 6.419 7.750 10.387 90.00 90.00 90.00
Space group Imma (No. 74)
Symmetry-distinct sites (fractional):
Ce: 0.000 0.250 0.225 x4
Ga: 0.250 0.250 0.750 x4
Si: 0.000 0.000 0.000 x4
Ni: 0.000 0.250 0.486 x4
Ni: 0.000 0.250 0.908 x4
Ni: 0.199 0.002 0.618 x16



For CeGa2SiNi4, the GGA-PBE geometry in Alexandria gives the theoretical powder X-ray diffraction pattern in this record (λ = 1.5418 Å (Cu Kα)).
Kinematic intensities with the Lorentz-polarization factor, no thermal factor.

The 8 most intense peaks (2θ = 5–70°), by angle:
- 25.68°, intensity 110, (1 0 1)
- 31.25°, intensity 388, (0 1 5)
- 36.04°, intensity 438, (1 0 7)
- 38.77°, intensity 740, (0 1 8)
- 43.77°, intensity 117, (0 0 12)
- 44.80°, intensity 1000, (1 1 0)
- 60.71°, intensity 191, (2 0 8)
- 64.42°, intensity 216, (1 1 12)

Cell and atoms:
Lattice parameters (Å, degrees): 4.0461 4.0461 24.8196 90.00 90.00 120.00
Space group R-3m (No. 166, hexagonal axes)
Symmetry-distinct sites (fractional):
Ce: 0.0000 0.0000 0.0000 x3
Ga: 0.0000 0.0000 0.2440 x6
Si: 0.0000 0.0000 0.5000 x3
Ni: 0.0000 0.0000 0.1381 x6
Ni: 0.0000 0.0000 0.4076 x6



For Ce6Ga2O, the GGA-PBE geometry in Alexandria gives the theoretical powder X-ray diffraction pattern in this record (λ = 1.5418 Å (Cu Kα)).
Kinematic intensities with the Lorentz-polarization factor, no thermal factor.

The 8 most intense peaks (2θ = 5–70°), by angle:
- 33.22°, intensity 1000, (2 0 2)
- 35.79°, intensity 226, (0 0 4)
- 39.86°, intensity 309, (2 2 0)
- 54.64°, intensity 234, (2 2 4)
- 57.64°, intensity 91, (4 0 0)
- 62.68°, intensity 146, (2 0 6)
- 68.17°, intensity 192, (4 2 2)
- 69.74°, intensity 97, (4 0 4)

Cell and atoms:
Lattice parameters (Å, degrees): 6.397 6.397 10.036 90.00 90.00 90.00
Space group I4/mmm (No. 139)
Symmetry-distinct sites (fractional):
Ce: 0.000 0.000 0.235 x4
Ce: 0.224 0.224 0.500 x8
Ga: 0.000 0.500 0.250 x4
O: 0.000 0.000 0.000 x2